# 1
Calculated PXRD pattern of TlGaI5 for Cu Ka, from a cell relaxed with PBE.
Intensities are scaled so that the largest is 100.

Structure:
```
TlGaI5
1.0
8.5899 0.0000 0.0000
-1.5590 8.7033 0.0000
-2.5901 -4.2995 9.2951
Tl Ga I
2 2 10
Direct
0.0000 0.0000 0.0000
0.5000 0.0000 0.5000
0.1694 0.4497 0.7762
0.8306 0.5503 0.2238
0.1236 0.6748 0.4153
0.2013 0.1578 0.2952
0.2155 0.3466 0.9788
0.2758 0.7786 0.8995
0.3948 0.3772 0.6485
0.6052 0.6228 0.3515
0.7242 0.2214 0.1005
0.7845 0.6534 0.0212
0.7987 0.8422 0.7048
0.8764 0.3252 0.5847
```

Principal peaks in the range 2θ from 5° to 70°, sorted by position:
- 2θ 15.89, rel. 77
- 2θ 16.93, rel. 100
- 2θ 17.62, rel. 77
- 2θ 22.75, rel. 68
- 2θ 24.87, rel. 49
- 2θ 25.18, rel. 66
- 2θ 25.95, rel. 52
- 2θ 26.76, rel. 77
- 2θ 30.92, rel. 48
- 2θ 35.65, rel. 45



# 2
Calculated PXRD pattern of Ti6AlPb for Cu Ka, from a cell relaxed with PBE.
Intensities are scaled so that the largest is 100.

Structure:
```
Ti6AlPb
1.0
4.7388 0.0000 0.0000
0.0000 2.9362 5.0748
0.0000 -2.9362 5.0748
Ti Al Pb
6 1 1
Direct
0.0000 0.0000 0.0000
0.0000 0.0003 0.5110
0.0000 0.5110 0.0003
0.5000 0.1742 0.6696
0.5000 0.6696 0.1742
0.5000 0.6700 0.6700
0.0000 0.5042 0.5042
0.5000 0.1709 0.1709
```

Principal peaks in the range 2θ from 5° to 70°, sorted by position:
- 2θ 17.46, rel. 50
- 2θ 18.73, rel. 17
- 2θ 25.71, rel. 35
- 2θ 35.34, rel. 32
- 2θ 36.01, rel. 21
- 2θ 37.98, rel. 25
- 2θ 40.28, rel. 100
- 2θ 42.08, rel. 12
- 2θ 52.84, rel. 19
- 2θ 63.47, rel. 10



# 3
Calculated PXRD pattern of La4CePr3 for Cu Ka, from a cell relaxed with PBE.
Intensities are scaled so that the largest is 100.

Structure:
```
La4CePr3
1.0
13.0323 -1.7559 0.0000
13.0323 1.7559 0.0000
-0.7163 0.0000 6.2214
La Ce Pr
4 1 3
Direct
0.1011 0.1011 0.2038
0.2800 0.2800 0.7640
0.7200 0.7200 0.2360
0.8989 0.8989 0.7962
0.5000 0.5000 0.0000
0.0000 0.0000 0.5000
0.1440 0.1440 0.7236
0.8560 0.8560 0.2764
```

Principal peaks in the range 2θ from 5° to 70°, sorted by position:
- 2θ 25.60, rel. 38
- 2θ 27.56, rel. 42
- 2θ 28.73, rel. 100
- 2θ 29.21, rel. 78
- 2θ 29.62, rel. 62
- 2θ 30.76, rel. 59
- 2θ 31.58, rel. 70
- 2θ 32.61, rel. 47
- 2θ 39.17, rel. 34
- 2θ 56.54, rel. 37